No. 1
Theoretical powder diffractogram
Compound: InAgHg2Br4
Radiation: Cu Kα (λ = 1.5418 Å)
Structure: a cell relaxed with PBE
No peak broadening, texture or thermal motion is included.

```
data_InAgHg2Br4
_space_group_name_H-M_alt 'P 1'
_space_group_IT_number 1
_space_group_name_Hall 'P 1'
_cell_length_a 7.0730
_cell_length_b 7.3402
_cell_length_c 8.0364
_cell_angle_alpha 92.98
_cell_angle_beta 114.96
_cell_angle_gamma 118.64
loop_
_atom_site_label
_atom_site_fract_x
_atom_site_fract_y
_atom_site_fract_z
In1 0.0000 0.0000 0.0000
Ag1 0.6571 0.3397 0.9798
Hg1 0.5597 0.7579 0.3643
Hg2 0.9868 0.5366 0.3824
Br1 0.2034 0.2775 0.8489
Br2 0.2603 0.1293 0.3613
Br3 0.5664 0.9360 0.8804
Br4 0.9158 0.6336 0.8448
```

Most intense lines, 2θ from 15° to 90°, by angle:
2θ (°), intensity, hkl
16.01, 32, 0 1 -1
24.26, 100, 1 -2 0
25.20, 74, -2 1 1
25.81, 82, 0 0 2
27.36, 41, 1 1 -2
27.94, 40, -1 2 1
28.10, 26, 2 -1 0
35.95, 31, 2 -1 1
42.09, 24, 0 3 -1
43.88, 33, -3 3 1

No. 2
Theoretical powder diffractogram
Compound: NiMoPt6
Radiation: Cu Kα (λ = 1.5418 Å)
Structure: a cell relaxed with PBE
No peak broadening, texture or thermal motion is included.

```
data_NiMoPt6
_space_group_name_H-M_alt 'P 4/m m m'
_space_group_IT_number 123
_space_group_name_Hall '-P 4 2'
_cell_length_a 3.9383
_cell_length_b 3.9383
_cell_length_c 7.8017
_cell_angle_alpha 90.00
_cell_angle_beta 90.00
_cell_angle_gamma 90.00
loop_
_atom_site_label
_atom_site_fract_x
_atom_site_fract_y
_atom_site_fract_z
Ni1 0.0000 0.0000 0.0000
Mo1 0.0000 0.0000 0.5000
Pt1 0.0000 0.5000 0.2503
Pt2 0.5000 0.5000 0.0000
Pt3 0.5000 0.5000 0.5000
```

Most intense lines, 2θ from 15° to 90°, by angle:
2θ (°), intensity, hkl
22.58, 6, 1 0 0
32.30, 5, 1 0 2
39.77, 100, 1 1 2
46.10, 33, 2 0 0
46.56, 16, 0 0 4
67.24, 11, 2 2 0
67.60, 21, 2 0 4
81.05, 26, 3 1 2
81.74, 13, 1 1 6
85.73, 11, 2 2 4

No. 3
Theoretical powder diffractogram
Compound: DyHf2Pd7
Radiation: Cu Kα (λ = 1.5418 Å)
Structure: a cell relaxed with PBE
No peak broadening, texture or thermal motion is included.

```
data_DyHf2Pd7
_space_group_name_H-M_alt 'F m m m'
_space_group_IT_number 69
_space_group_name_Hall '-F 2 2'
_cell_length_a 5.7308
_cell_length_b 7.8076
_cell_length_c 16.9836
_cell_angle_alpha 90.00
_cell_angle_beta 90.00
_cell_angle_gamma 90.00
loop_
_atom_site_label
_atom_site_fract_x
_atom_site_fract_y
_atom_site_fract_z
Dy1 0.0000 0.0000 0.0000
Hf1 0.0000 0.0000 0.3305
Pd1 0.0000 0.0000 0.5000
Pd2 0.2500 0.2500 0.0889
Pd3 0.2500 0.2500 0.2500
```

Most intense lines, 2θ from 15° to 90°, by angle:
2θ (°), intensity, hkl
24.88, 65, 1 1 3
38.99, 100, 2 2 0
39.32, 96, 0 2 6
41.30, 17, 1 3 3
45.02, 65, 2 0 6
46.53, 30, 0 4 0
66.74, 40, 2 4 6
78.78, 25, 4 2 6
79.41, 23, 2 2 12
81.39, 14, 0 6 6

No. 4
Theoretical powder diffractogram
Compound: Ca6Te4As
Radiation: Cu Kα (λ = 1.5418 Å)
Structure: a cell relaxed with PBE
No peak broadening, texture or thermal motion is included.

```
data_Ca6Te4As
_space_group_name_H-M_alt 'R -3 c'
_space_group_IT_number 167
_space_group_name_Hall '-R 3 2"c'
_cell_length_a 12.4795
_cell_length_b 12.4795
_cell_length_c 15.6362
_cell_angle_alpha 90.00
_cell_angle_beta 90.00
_cell_angle_gamma 120.00
loop_
_atom_site_label
_atom_site_fract_x
_atom_site_fract_y
_atom_site_fract_z
Ca1 0.0292 0.1928 0.3922
Te1 0.0000 0.0000 0.2500
Te2 0.0000 0.3683 0.2500
As1 0.0000 0.0000 0.0000
```

Most intense lines, 2θ from 15° to 90°, by angle:
2θ (°), intensity, hkl
22.22, 75, 1 1 3
24.71, 100, 3 0 0
28.18, 36, 0 2 4
30.36, 41, 1 3 1
31.68, 55, 2 1 4
33.47, 96, 2 2 3
42.83, 25, 3 0 6
43.21, 37, 3 2 4
43.49, 26, 3 3 0
64.94, 25, 3 5 4

No. 5
Theoretical powder diffractogram
Compound: Be8Ru
Radiation: Cu Kα (λ = 1.5418 Å)
Structure: a cell relaxed with PBE
No peak broadening, texture or thermal motion is included.

```
data_Be8Ru
_space_group_name_H-M_alt 'I 4/m m m'
_space_group_IT_number 139
_space_group_name_Hall '-I 4 2'
_cell_length_a 7.0886
_cell_length_b 7.0886
_cell_length_c 3.1242
_cell_angle_alpha 90.00
_cell_angle_beta 90.00
_cell_angle_gamma 90.00
loop_
_atom_site_label
_atom_site_fract_x
_atom_site_fract_y
_atom_site_fract_z
Be1 0.0000 0.3434 0.0000
Be2 0.1743 0.1743 0.5000
Ru1 0.0000 0.0000 0.0000
```

Most intense lines, 2θ from 15° to 90°, by angle:
2θ (°), intensity, hkl
17.69, 100, 1 1 0
25.13, 46, 2 0 0
31.29, 53, 1 0 1
35.83, 20, 2 2 0
40.23, 27, 3 1 0
40.54, 53, 2 1 1
48.29, 36, 3 0 1
55.20, 20, 3 2 1
61.57, 13, 4 1 1
73.33, 13, 4 3 1

No. 6
Theoretical powder diffractogram
Compound: LaIn6Cu6
Radiation: Cu Kα (λ = 1.5418 Å)
Structure: a cell relaxed with PBE
No peak broadening, texture or thermal motion is included.

```
data_LaIn6Cu6
_space_group_name_H-M_alt 'I m m m'
_space_group_IT_number 71
_space_group_name_Hall '-I 2 2'
_cell_length_a 5.5160
_cell_length_b 9.3313
_cell_length_c 9.3907
_cell_angle_alpha 90.00
_cell_angle_beta 90.00
_cell_angle_gamma 90.00
loop_
_atom_site_label
_atom_site_fract_x
_atom_site_fract_y
_atom_site_fract_z
La1 0.0000 0.0000 0.0000
In1 0.0000 0.0000 0.3451
In2 0.0000 0.3396 0.0000
In3 0.0000 0.5000 0.3107
Cu1 0.0000 0.2652 0.5000
Cu2 0.2500 0.2500 0.2500
```

Most intense lines, 2θ from 15° to 90°, by angle:
2θ (°), intensity, hkl
32.46, 27, 2 0 0
32.90, 48, 1 0 3
33.06, 17, 1 3 0
37.87, 50, 2 2 0
38.31, 100, 0 0 4
38.59, 25, 0 4 0
42.67, 41, 2 2 2
43.16, 27, 0 2 4
61.83, 20, 3 2 3
69.62, 19, 1 6 3

No. 7
Theoretical powder diffractogram
Compound: Pr2Ga3Pd5
Radiation: Cu Kα (λ = 1.5418 Å)
Structure: a cell relaxed with PBE
No peak broadening, texture or thermal motion is included.

```
data_Pr2Ga3Pd5
_space_group_name_H-M_alt 'I b a m'
_space_group_IT_number 72
_space_group_name_Hall '-I 2 2c'
_cell_length_a 10.8542
_cell_length_b 12.1265
_cell_length_c 5.9037
_cell_angle_alpha 90.00
_cell_angle_beta 90.00
_cell_angle_gamma 90.00
loop_
_atom_site_label
_atom_site_fract_x
_atom_site_fract_y
_atom_site_fract_z
Pr1 0.2244 0.1385 0.0000
Ga1 0.0000 0.5000 0.2500
Ga2 0.1013 0.1430 0.5000
Pd1 0.0000 0.0000 0.2500
Pd2 0.0000 0.2851 0.2500
Pd3 0.1741 0.4061 0.0000
```

Most intense lines, 2θ from 15° to 90°, by angle:
2θ (°), intensity, hkl
32.57, 53, 3 2 1
33.01, 19, 4 0 0
33.87, 73, 2 4 0
34.59, 100, 2 0 2
37.21, 28, 4 1 1
38.67, 23, 1 3 2
42.76, 75, 0 4 2
42.97, 20, 4 3 1
47.05, 18, 5 2 1
53.55, 19, 1 7 0

No. 8
Theoretical powder diffractogram
Compound: BaAgPb2
Radiation: Cu Kα (λ = 1.5418 Å)
Structure: a cell relaxed with PBE
No peak broadening, texture or thermal motion is included.

```
data_BaAgPb2
_space_group_name_H-M_alt 'C m c m'
_space_group_IT_number 63
_space_group_name_Hall '-C 2c 2'
_cell_length_a 5.1750
_cell_length_b 19.0138
_cell_length_c 10.5062
_cell_angle_alpha 90.00
_cell_angle_beta 90.00
_cell_angle_gamma 90.00
loop_
_atom_site_label
_atom_site_fract_x
_atom_site_fract_y
_atom_site_fract_z
Ba1 0.0000 0.0000 0.0000
Ba2 0.0000 0.1957 0.2500
Ag1 0.0000 0.3524 0.5215
Pb1 0.0000 0.1929 0.5960
Pb2 0.0000 0.3997 0.2500
Pb3 0.0000 0.4392 0.7500
```

Most intense lines, 2θ from 15° to 90°, by angle:
2θ (°), intensity, hkl
24.60, 44, 1 1 2
28.00, 29, 1 3 2
29.14, 100, 1 5 0
31.19, 70, 1 1 3
33.01, 30, 0 6 2
34.67, 60, 2 0 0
38.33, 49, 0 6 3
41.09, 18, 1 3 4
48.62, 21, 2 6 2
52.61, 27, 2 6 3

No. 9
Theoretical powder diffractogram
Compound: ZrTiNb2H8
Radiation: Cu Kα (λ = 1.5418 Å)
Structure: a cell relaxed with PBE
No peak broadening, texture or thermal motion is included.

```
data_ZrTiNb2H8
_space_group_name_H-M_alt 'I -4 m 2'
_space_group_IT_number 119
_space_group_name_Hall 'I -4 -2'
_cell_length_a 4.5596
_cell_length_b 4.5596
_cell_length_c 9.2560
_cell_angle_alpha 90.00
_cell_angle_beta 90.00
_cell_angle_gamma 90.00
loop_
_atom_site_label
_atom_site_fract_x
_atom_site_fract_y
_atom_site_fract_z
Zr1 0.0000 0.0000 0.0000
Ti1 0.0000 0.5000 0.2500
Nb1 0.0000 0.0000 0.5000
Nb2 0.0000 0.5000 0.7500
H1 0.2397 0.2468 0.3691
```

Most intense lines, 2θ from 15° to 90°, by angle:
2θ (°), intensity, hkl
21.73, 6, 1 0 1
33.89, 100, 1 1 2
38.92, 16, 0 0 4
39.53, 30, 2 0 0
56.68, 23, 2 0 4
57.14, 11, 2 2 0
67.28, 13, 1 1 6
68.11, 24, 3 1 2
71.30, 10, 2 2 4
85.11, 3, 4 0 0

No. 10
Theoretical powder diffractogram
Compound: Pr3Te2
Radiation: Cu Kα (λ = 1.5418 Å)
Structure: a cell relaxed with PBE
No peak broadening, texture or thermal motion is included.

```
data_Pr3Te2
_space_group_name_H-M_alt 'R -3 m'
_space_group_IT_number 166
_space_group_name_Hall '-R 3 2"'
_cell_length_a 4.2963
_cell_length_b 4.2963
_cell_length_c 32.9078
_cell_angle_alpha 90.00
_cell_angle_beta 90.00
_cell_angle_gamma 120.00
loop_
_atom_site_label
_atom_site_fract_x
_atom_site_fract_y
_atom_site_fract_z
Pr1 0.0000 0.0000 0.0000
Pr2 0.0000 0.0000 0.2110
Te1 0.0000 0.0000 0.3941
```

Most intense lines, 2θ from 15° to 90°, by angle:
2θ (°), intensity, hkl
27.54, 100, 0 1 5
36.45, 39, 1 0 10
42.06, 34, 1 1 0
43.23, 7, 1 0 13
51.01, 18, 2 0 5
56.85, 11, 0 2 10
60.30, 13, 1 1 15
67.24, 7, 1 1 18
68.19, 15, 1 2 5
73.19, 10, 2 1 10

No. 11
Theoretical powder diffractogram
Compound: Cu2Ag2Cl7
Radiation: Cu Kα (λ = 1.5418 Å)
Structure: a cell relaxed with PBE
No peak broadening, texture or thermal motion is included.

```
data_Cu2Ag2Cl7
_space_group_name_H-M_alt 'C 1 2/m 1'
_space_group_IT_number 12
_space_group_name_Hall '-C 2y'
_cell_length_a 7.3682
_cell_length_b 12.0039
_cell_length_c 6.4722
_cell_angle_alpha 90.00
_cell_angle_beta 92.21
_cell_angle_gamma 90.00
loop_
_atom_site_label
_atom_site_fract_x
_atom_site_fract_y
_atom_site_fract_z
Cu1 0.2161 0.0000 0.1252
Ag1 0.0000 0.1900 0.5000
Cl1 0.0000 0.5000 0.0000
Cl2 0.0840 0.0000 0.7720
Cl3 0.2364 0.3246 0.7279
```

Most intense lines, 2θ from 15° to 90°, by angle:
2θ (°), intensity, hkl
20.04, 46, 1 1 1
20.18, 100, 0 2 1
27.41, 20, 2 0 -1
29.13, 30, 1 3 1
36.26, 18, 2 0 -2
38.16, 41, 1 3 2
39.48, 36, 3 1 -1
42.14, 20, 1 5 1
43.25, 16, 3 3 0
54.98, 18, 3 5 -1

No. 12
Theoretical powder diffractogram
Compound: SmCd6
Radiation: Cu Kα (λ = 1.5418 Å)
Structure: a cell relaxed with PBE
No peak broadening, texture or thermal motion is included.

```
data_SmCd6
_space_group_name_H-M_alt 'P n m a'
_space_group_IT_number 62
_space_group_name_Hall '-P 2ac 2n'
_cell_length_a 9.2703
_cell_length_b 6.0644
_cell_length_c 11.7566
_cell_angle_alpha 90.00
_cell_angle_beta 90.00
_cell_angle_gamma 90.00
loop_
_atom_site_label
_atom_site_fract_x
_atom_site_fract_y
_atom_site_fract_z
Sm1 0.2414 0.2500 0.0586
Cd1 0.0648 0.7500 0.0839
Cd2 0.0666 0.0156 0.3099
Cd3 0.1040 0.2500 0.5249
Cd4 0.1342 0.7500 0.8478
Cd5 0.1885 0.2500 0.7654
```

Most intense lines, 2θ from 15° to 90°, by angle:
2θ (°), intensity, hkl
29.46, 21, 0 2 0
31.95, 47, 1 0 4
33.25, 17, 0 2 2
33.41, 100, 3 1 1
35.37, 15, 2 2 0
36.21, 30, 2 2 1
38.79, 33, 1 2 3
39.22, 23, 2 1 4
39.60, 33, 4 0 1
54.82, 20, 3 3 1

No. 13
Theoretical powder diffractogram
Compound: SrThHg
Radiation: Cu Kα (λ = 1.5418 Å)
Structure: a cell relaxed with PBE
No peak broadening, texture or thermal motion is included.

```
data_SrThHg
_space_group_name_H-M_alt 'A m m 2'
_space_group_IT_number 38
_space_group_name_Hall 'A 2 -2'
_cell_length_a 16.6340
_cell_length_b 3.7559
_cell_length_c 6.5103
_cell_angle_alpha 90.00
_cell_angle_beta 90.00
_cell_angle_gamma 90.00
loop_
_atom_site_label
_atom_site_fract_x
_atom_site_fract_y
_atom_site_fract_z
Sr1 0.1538 0.0000 0.0000
Th1 0.3495 0.0000 0.3314
Hg1 0.0000 0.0000 0.3333
Hg2 0.5000 0.0000 0.9982
```

Most intense lines, 2θ from 15° to 90°, by angle:
2θ (°), intensity, hkl
27.41, 30, 0 1 1
31.89, 100, 3 0 2
32.29, 18, 6 0 0
38.71, 8, 5 1 1
42.85, 15, 6 1 1
48.45, 22, 0 2 0
57.33, 12, 9 1 1
59.18, 18, 3 2 2
59.43, 19, 6 2 0
79.89, 15, 3 1 5